Diffraction record for CsTl2Se6. The PXRD pattern is computed, not measured: it uses a cell relaxed with PBE and Cu Kα.
Intensities are scaled so that the largest is 100.

Main lines, by angle (2θ from 5° to 70°):
hkl	2theta	I (rel.)
1 1 0	12.29	34.7
1 1 1	22.63	32.6
2 2 0	24.73	49.5
2 2 -1	26.54	100.0
4 0 0	30.40	38.0
2 2 1	32.75	55.5
0 4 0	39.57	33.3
4 4 0	50.69	19.3

Crystal structure
abc: 12.605 9.112 5.797
angles: 90.00 111.11 90.00
Space group Cm (No. 8)
Unique sites:
Cs  0.000  0.000  0.000 (multiplicity 2)
Tl  0.044  0.500  0.117 (multiplicity 2)
Tl  0.331  0.000  0.528 (multiplicity 2)
Se  0.015  0.265  0.511 (multiplicity 4)
Se  0.214  0.294  0.743 (multiplicity 4)
Se  0.255  0.282  0.174 (multiplicity 4)

***

Diffraction record for Cs5Ac2F12. The PXRD pattern is computed, not measured: it uses a cell relaxed with PBE and Cu Kα.
Intensities are scaled so that the largest is 100.

Main lines, by angle (2θ from 5° to 70°):
hkl	2theta	I (rel.)
2 0 0	11.71	65.5
0 0 1	12.26	71.4
2 2 0	23.29	63.2
0 2 1	23.57	87.8
0 0 2	24.67	78.0
2 2 -1	25.73	100.0
2 2 1	27.06	82.1
6 2 -1	41.87	50.7

Crystal structure
abc: 15.226 8.850 7.270
angles: 90.00 96.81 90.00
Space group C2/m (No. 12)
Unique sites:
Cs  0.000  0.000  0.000 (multiplicity 2)
Cs  0.136  0.500  0.014 (multiplicity 4)
Cs  0.234  0.000  0.476 (multiplicity 4)
Ac  0.000  0.257  0.500 (multiplicity 4)
F  0.021  0.500  0.319 (multiplicity 4)
F  0.062  0.000  0.631 (multiplicity 4)
F  0.101  0.209  0.267 (multiplicity 8)
F  0.141  0.296  0.694 (multiplicity 8)

***

Diffraction record for Tm3Sc4. The PXRD pattern is computed, not measured: it uses a cell relaxed with PBE and Cu Kα.
Intensities are scaled so that the largest is 100.

Main lines, by angle (2θ from 5° to 70°):
hkl	2theta	I (rel.)
0 1 1	19.30	28.7
1 0 1	26.64	13.5
1 1 0	32.67	100.0
1 0 7	37.64	33.8
0 2 0	38.41	16.0
1 2 7	54.87	22.4
2 1 7	64.82	26.6
1 3 0	65.85	12.7

Crystal structure
abc: 3.380 4.688 23.649
angles: 90.00 90.00 90.00
Space group Immm (No. 71)
Unique sites:
Tm  0.000  0.000  0.000 (multiplicity 2)
Tm  0.000  0.000  0.144 (multiplicity 4)
Sc  0.000  0.000  0.284 (multiplicity 4)
Sc  0.000  0.000  0.428 (multiplicity 4)

***

Diffraction record for Na7PaS6. The PXRD pattern is computed, not measured: it uses a cell relaxed with PBE and Cu Kα.
Intensities are scaled so that the largest is 100.

Main lines, by angle (2θ from 5° to 70°):
hkl	2theta	I (rel.)
1 0 1	13.76	100.0
0 1 2	15.90	56.6
1 0 4	22.58	25.2
1 1 3	26.52	77.0
2 1 1	35.06	21.0
1 1 6	36.05	62.2
3 0 0	39.56	36.6
1 2 5	42.12	28.6

Crystal structure
abc: 7.8937 7.8937 19.2518
angles: 90.00 90.00 120.00
Space group R3 (No. 146, hexagonal axes)
Unique sites:
Na  0.0000  0.0000  0.0000 (multiplicity 3)
Na  0.0091  0.3874  0.4520 (multiplicity 9)
Na  0.0163  0.7353  0.5692 (multiplicity 9)
Pa  0.0000  0.0000  0.3434 (multiplicity 3)
S  0.0550  0.6717  0.0869 (multiplicity 9)
S  0.0643  0.3619  0.9336 (multiplicity 9)

***

Repeat the third record exactly.
Diffraction record for Tm3Sc4. The PXRD pattern is computed, not measured: it uses a cell relaxed with PBE and Cu Kα.
Intensities are scaled so that the largest is 100.

Main lines, by angle (2θ from 5° to 70°):
hkl	2theta	I (rel.)
0 1 1	19.30	28.7
1 0 1	26.64	13.5
1 1 0	32.67	100.0
1 0 7	37.64	33.8
0 2 0	38.41	16.0
1 2 7	54.87	22.4
2 1 7	64.82	26.6
1 3 0	65.85	12.7

Crystal structure
abc: 3.380 4.688 23.649
angles: 90.00 90.00 90.00
Space group Immm (No. 71)
Unique sites:
Tm  0.000  0.000  0.000 (multiplicity 2)
Tm  0.000  0.000  0.144 (multiplicity 4)
Sc  0.000  0.000  0.284 (multiplicity 4)
Sc  0.000  0.000  0.428 (multiplicity 4)